Structure and theoretical powder diffraction line list of Li2Bi2B2O7 (a GGA-PBE-relaxed structure; Cu Kα (weighted mean of Kα1 and Kα2)).
Intensities are scaled so that the largest is 100.

Most intense lines, 2θ from 5° to 70°, by intensity:
2θ/deg	intensity	(hkl)
9.65	100.0	1 0 0
29.15	51.4	1 1 -3
29.35	37.1	2 1 -3
25.42	18.2	1 0 2
29.01	17.3	2 1 1
26.02	14.6	3 0 -2
32.40	12.1	2 2 -1
38.19	12.1	3 2 -2
21.78	11.5	2 1 -1
16.70	11.2	1 1 0
46.26	9.7	0 3 2
49.71	9.2	5 0 0

Crystal structure
a = 10.4800 Å, b = 6.5034 Å, c = 10.5719 Å
α = 90.00°, β = 118.95°, γ = 90.00°
Space group P2_1/c (No. 14)
Symmetry-distinct sites (fractional):
1 Li 0.0002 0.0922 0.2241 (multiplicity 4)
2 Li 0.0988 0.2198 0.0203 (multiplicity 4)
3 Bi 0.3001 0.5740 0.9034 (multiplicity 4)
4 Bi 0.4983 0.5449 0.3156 (multiplicity 4)
5 B 0.1607 0.7474 0.5674 (multiplicity 4)
6 B 0.2665 0.1515 0.8424 (multiplicity 4)
7 O 0.0694 0.7000 0.9252 (multiplicity 4)
8 O 0.1098 0.6481 0.6486 (multiplicity 4)
9 O 0.1707 0.2435 0.8783 (multiplicity 4)
10 O 0.3107 0.2486 0.7525 (multiplicity 4)
11 O 0.3114 0.7040 0.1233 (multiplicity 4)
12 O 0.3345 0.5367 0.4036 (multiplicity 4)
13 O 0.4815 0.1287 0.5974 (multiplicity 4)



Structure and theoretical powder diffraction line list of Na2Te (a GGA-PBE-relaxed structure; Cu Kα (weighted mean of Kα1 and Kα2)).
Intensities are scaled so that the largest is 100.

Most intense lines, 2θ from 5° to 70°, by intensity:
2θ/deg	intensity	(hkl)
20.99	100.0	1 1 1
34.61	81.5	2 2 0
40.83	52.7	3 1 1
62.02	28.4	4 2 2
54.57	22.4	3 3 1
24.28	18.9	2 0 0
66.25	16.5	5 1 1
49.75	14.2	4 0 0
56.11	8.0	4 2 0
42.73	5.7	2 2 2

Crystal structure
a = 7.3306 Å, b = 7.3306 Å, c = 7.3306 Å
α = 90.00°, β = 90.00°, γ = 90.00°
Space group Fm-3m (No. 225)
Symmetry-distinct sites (fractional):
1 Na 0.2500 0.2500 0.2500 (multiplicity 8)
2 Te 0.0000 0.0000 0.0000 (multiplicity 4)



Structure and theoretical powder diffraction line list of SrAl2Si2O8 (a GGA-PBE-relaxed structure; Cu Kα (weighted mean of Kα1 and Kα2)).
Intensities are scaled so that the largest is 100.

Most intense lines, 2θ from 5° to 70°, by intensity:
2θ/deg	intensity	(hkl)
27.03	100.0	2 2 -2
27.37	85.5	4 0 0
25.64	65.0	3 1 1
34.80	54.5	0 4 2
29.65	52.7	3 3 -1
32.17	42.3	3 3 1
23.43	33.7	1 3 -1
34.93	33.6	5 1 -1
13.48	29.0	0 2 0
50.67	27.4	6 0 2
30.49	25.9	2 4 0
24.49	25.7	1 3 1

Crystal structure
a = 13.2262 Å, b = 13.1335 Å, c = 8.4413 Å
α = 90.00°, β = 99.91°, γ = 90.00°
Space group C2/c (No. 15)
Symmetry-distinct sites (fractional):
1 Sr 0.1844 0.2487 0.2005 (multiplicity 8)
2 Al 0.0795 0.3710 0.5208 (multiplicity 8)
3 Al 0.1332 0.0729 0.8843 (multiplicity 8)
4 Si 0.0780 0.1370 0.5106 (multiplicity 8)
5 Si 0.1422 0.4242 0.8970 (multiplicity 8)
6 O 0.0460 0.1317 0.9931 (multiplicity 8)
7 O 0.0542 0.3767 0.9911 (multiplicity 8)
8 O 0.1052 0.2503 0.4428 (multiplicity 8)
9 O 0.1185 0.0589 0.3846 (multiplicity 8)
10 O 0.1324 0.4524 0.3913 (multiplicity 8)
11 O 0.1401 0.1248 0.6948 (multiplicity 8)
12 O 0.1445 0.3745 0.7204 (multiplicity 8)
13 O 0.2501 0.1212 0.9962 (multiplicity 8)



Structure and theoretical powder diffraction line list of LiAc2Si (a GGA-PBE-relaxed structure; Cu Kα (weighted mean of Kα1 and Kα2)).
Intensities are scaled so that the largest is 100.

Most intense lines, 2θ from 5° to 70°, by intensity:
2θ/deg	intensity	(hkl)
32.56	100.0	2 2 0
22.87	87.3	2 0 0
58.10	39.5	4 2 2
52.62	39.4	4 2 0
40.16	28.1	2 2 2
46.71	18.7	4 0 0
68.20	12.3	4 4 0
19.77	0.7	1 1 1

Crystal structure
a = 7.7784 Å, b = 7.7784 Å, c = 7.7784 Å
α = 90.00°, β = 90.00°, γ = 90.00°
Space group Fm-3m (No. 225)
Symmetry-distinct sites (fractional):
1 Li 0.0000 0.0000 0.0000 (multiplicity 4)
2 Ac 0.2500 0.2500 0.2500 (multiplicity 8)
3 Si 0.0000 0.0000 0.5000 (multiplicity 4)